# Rb3Ni2O4
Simulated powder diffraction line list, Cu Kα X-rays. Input: a cell relaxed with GGA+U.

The 8 most intense peaks (10° ≤ 2θ ≤ 90°), in order of rising 2θ:
2θ = 11.73°, d = 7.544 Å, I = 17.6; 2θ = 27.31°, d = 3.266 Å, I = 47.7; 2θ = 30.17°, d = 2.962 Å, I = 100.0; 2θ = 31.64°, d = 2.828 Å, I = 12.4; 2θ = 36.56°, d = 2.458 Å, I = 12.9; 2θ = 37.80°, d = 2.380 Å, I = 16.4; 2θ = 40.25°, d = 2.241 Å, I = 10.4; 2θ = 53.58°, d = 1.711 Å, I = 12.8

Crystal structure
```
data_Rb3Ni2O4
_space_group_name_H-M_alt 'P 1'
_space_group_IT_number 1
_cell_length_a 9.0615
_cell_length_b 9.0615
_cell_length_c 9.0615
_cell_angle_alpha 141.82
_cell_angle_beta 67.28
_cell_angle_gamma 126.87
loop_
_space_group_symop_operation_xyz
'x,y,z'
loop_
_atom_site_label
_atom_site_type_symbol
_atom_site_fract_x
_atom_site_fract_y
_atom_site_fract_z
Rb1 Rb 0.1464 0.3964 0.7500
Rb2 Rb 0.1786 0.0674 0.1111
Rb3 Rb 0.4563 0.0674 0.3889
Rb4 Rb 0.5437 0.9326 0.6111
Rb5 Rb 0.8214 0.9326 0.8889
Rb6 Rb 0.8536 0.6036 0.2500
Ni1 Ni 0.0964 0.6415 0.4549
Ni2 Ni 0.3133 0.3585 0.9549
Ni3 Ni 0.6867 0.6415 0.0451
Ni4 Ni 0.9036 0.3585 0.5451
O1 O 0.1474 0.0000 0.6474
O2 O 0.1474 0.5000 0.1474
O3 O 0.1702 0.5899 0.5803
O4 O 0.4905 0.4101 0.0803
O5 O 0.5095 0.5899 0.9197
O6 O 0.8298 0.4101 0.4197
O7 O 0.8526 0.0000 0.3526
O8 O 0.8526 0.5000 0.8526
```